Diffraction record for Er2Cd13. The PXRD pattern is simulated, not measured: it uses a DFT-relaxed cell (PBE, Alexandria) and copper Kα.

The 10 most intense peaks (2θ = 10–80°), by angle:
| 2θ/deg | intensity |
| --- | --- |
| 27.5 | 16.5 |
| 32.9 | 60.7 |
| 34.0 | 47.1 |
| 34.5 | 28.4 |
| 35.0 | 100.0 |
| 43.8 | 21.0 |
| 46.1 | 19.8 |
| 47.8 | 52.9 |
| 64.3 | 17.0 |
| 67.6 | 30.6 |

Structure:
```
Er2Cd13
1.0
3.9419 2.2758 6.9312
-3.9419 2.2758 6.9312
0.0000 -4.5517 6.9312
Er Cd
2 13
direct
0.1546 0.1546 0.1546 Er
0.8454 0.8454 0.8454 Er
0.0000 0.0000 0.0000 Cd
0.1507 0.1507 0.5390 Cd
0.1507 0.5390 0.1507 Cd
0.3116 0.3116 0.6790 Cd
0.3116 0.6790 0.3116 Cd
0.3210 0.6884 0.6884 Cd
0.4610 0.8493 0.8493 Cd
0.5390 0.1507 0.1507 Cd
0.6790 0.3116 0.3116 Cd
0.6884 0.3210 0.6884 Cd
0.6884 0.6884 0.3210 Cd
0.8493 0.4610 0.8493 Cd
0.8493 0.8493 0.4610 Cd
```



Diffraction record for Hg2PbS2I2. The PXRD pattern is simulated, not measured: it uses a DFT-relaxed cell (PBE, Alexandria) and copper Kα.

The 10 most intense peaks (2θ = 10–80°), by angle:
| 2θ/deg | intensity |
| --- | --- |
| 23.2 | 32.2 |
| 26.4 | 12.3 |
| 27.9 | 100.0 |
| 32.4 | 13.7 |
| 32.9 | 22.5 |
| 38.4 | 26.4 |
| 40.1 | 31.9 |
| 45.4 | 11.5 |
| 60.9 | 12.4 |
| 63.3 | 13.2 |

Structure:
```
Hg2PbS2I2
1.0
13.8273 0.0000 0.0000
0.0000 13.8273 0.0000
0.0000 0.0000 4.6816
Hg Pb S I
8 4 8 8
direct
0.0882 0.1658 0.0000 Hg
0.1658 0.9118 0.0000 Hg
0.3342 0.4118 0.0000 Hg
0.4118 0.6658 0.0000 Hg
0.5882 0.3342 0.0000 Hg
0.6658 0.5882 0.0000 Hg
0.8342 0.0882 0.0000 Hg
0.9118 0.8342 0.0000 Hg
0.1352 0.6352 0.5000 Pb
0.3648 0.1352 0.5000 Pb
0.6352 0.8648 0.5000 Pb
0.8648 0.3648 0.5000 Pb
0.0721 0.7623 0.0000 S
0.2377 0.0721 0.0000 S
0.2623 0.5721 0.0000 S
0.4279 0.2623 0.0000 S
0.5721 0.7377 0.0000 S
0.7377 0.4279 0.0000 S
0.7623 0.9279 0.0000 S
0.9279 0.2377 0.0000 S
0.0000 0.0000 0.5000 I
0.0000 0.5000 0.0000 I
0.1972 0.3028 0.5000 I
0.3028 0.8028 0.5000 I
0.5000 0.0000 0.0000 I
0.5000 0.5000 0.5000 I
0.6972 0.1972 0.5000 I
0.8028 0.6972 0.5000 I
```



Diffraction record for AcNd2Y5Ho. The PXRD pattern is simulated, not measured: it uses a DFT-relaxed cell (PBE, Alexandria) and copper Kα.

The 10 most intense peaks (2θ = 10–80°), by angle:
| 2θ/deg | intensity |
| --- | --- |
| 28.2 | 37.4 |
| 28.7 | 49.9 |
| 30.3 | 100.0 |
| 30.9 | 14.6 |
| 34.2 | 15.2 |
| 37.3 | 17.0 |
| 42.7 | 21.0 |
| 45.5 | 14.1 |
| 51.9 | 25.7 |
| 54.7 | 14.9 |

Structure:
```
AcNd2Y5Ho
1.0
-4.3944 4.3944 7.9707
4.3944 -4.3944 7.9707
4.3944 4.3944 -7.9707
Ac Nd Y Ho
2 4 10 2
direct
0.2500 0.7500 0.5000 Ac
0.7500 0.2500 0.5000 Ac
0.1160 0.6160 0.7319 Nd
0.3840 0.1160 0.5000 Nd
0.6160 0.8840 0.5000 Nd
0.8840 0.3840 0.2681 Nd
0.0000 0.0000 0.0000 Y
0.0778 0.1531 0.5000 Y
0.1531 0.6531 0.0753 Y
0.3469 0.4222 0.5000 Y
0.4222 0.9222 0.0753 Y
0.5000 0.5000 0.0000 Y
0.5778 0.0778 0.9247 Y
0.6531 0.5778 0.5000 Y
0.8469 0.3469 0.9247 Y
0.9222 0.8469 0.5000 Y
0.2500 0.2500 0.0000 Ho
0.7500 0.7500 0.0000 Ho
```